Starting from a structure optimized by DFT (GGA-PBE), the X-ray powder pattern of LiTc2AgO8 was simulated for copper Kα.

Structure:
a = 5.8920 Å, b = 5.8920 Å, c = 6.2481 Å
α = 90.00°, β = 90.00°, γ = 120.00°
Space group P-3m1 (No. 164)
Asymmetric unit:
Li  0.0000  0.0000  0.0000 (multiplicity 1)
Tc  0.3333  0.6667  0.7046 (multiplicity 2)
Ag  0.0000  0.0000  0.5000 (multiplicity 1)
O  0.1697  0.3394  0.7901 (multiplicity 6)
O  0.3333  0.6667  0.4285 (multiplicity 2)

Largest 10 diffraction maxima, by angle, 10 to 80 degrees two-theta:
14.2 deg, intensity 36, hkl 0 0 1
22.5 deg, intensity 100, hkl 0 1 1
30.3 deg, intensity 63, hkl 1 1 0
33.6 deg, intensity 71, hkl 0 1 2
45.9 deg, intensity 25, hkl 2 0 2
47.1 deg, intensity 22, hkl 1 0 3
49.5 deg, intensity 22, hkl 1 2 1
56.0 deg, intensity 23, hkl 1 2 2
63.1 deg, intensity 13, hkl 2 2 0
66.0 deg, intensity 15, hkl 2 1 3